Starting from a crystal structure in Alexandria, relaxed with PBE+U, the powder X-ray diffraction pattern of KFeSbF6 was calculated for Cu Kα.

Principal peaks in the range 2θ from 5° to 70°, sorted by position:
(1 0 0), d 5.145, 2θ 17.24, I = 100; (1 0 1), d 3.643, 2θ 24.44, I = 46; (1 -1 0), d 3.631, 2θ 24.51, I = 28; (1 -1 1), d 3.609, 2θ 24.67, I = 34; (1 1 -1), d 3.595, 2θ 24.76, I = 28; (0 1 1), d 2.984, 2θ 29.94, I = 20; (0 2 -1), d 2.912, 2θ 30.71, I = 20; (-1 1 1), d 2.585, 2θ 34.70, I = 21; (1 -1 2), d 2.554, 2θ 35.13, I = 20; (2 -1 2), d 1.936, 2θ 46.93, I = 25

Cell and atoms:
Cell lengths 5.141, 5.824, 5.890 Å; angles 118.74, 90.02, 90.21 degrees
Space group P1 (No. 1)
Inequivalent atoms, fractional coordinates:
K 0.000 0.000 0.000
Fe 0.444 0.332 0.669
Sb 0.507 0.667 0.336
F 0.239 0.603 0.039
F 0.243 0.954 0.566
F 0.244 0.414 0.403
F 0.628 0.669 0.708
F 0.640 0.287 0.936
F 0.643 0.040 0.351